1.
For PdSN3O3, the PBE geometry in the Materials Project gives the theoretical PXRD pattern in this record (λ = 1.5418 Å (Cu Kα)).
Intensities are scaled so that the largest is 100.

Structural model:
a b c (Å): 8.4490 7.2597 14.8430
angles (deg): 90.00 119.33 90.00
Fractional coordinates of all 32 atoms:
Pd1 0.0390 0.1817 0.4929
Pd2 0.0390 0.3183 0.9929
Pd3 0.9610 0.6817 0.0071
Pd4 0.9610 0.8183 0.5071
S1 0.3436 0.2003 0.8206
S2 0.3436 0.2997 0.3206
S3 0.6564 0.7003 0.6794
S4 0.6564 0.7997 0.1794
N1 0.0689 0.7245 0.9219
N2 0.0689 0.7755 0.4219
N3 0.0772 0.7162 0.6305
N4 0.0772 0.7838 0.1305
N5 0.2761 0.2135 0.5876
N6 0.2761 0.2865 0.0876
N7 0.7239 0.7135 0.9124
N8 0.7239 0.7865 0.4124
N9 0.9228 0.2162 0.8695
N10 0.9228 0.2838 0.3695
N11 0.9311 0.2245 0.5781
N12 0.9311 0.2755 0.0781
O1 0.2118 0.0581 0.8000
O2 0.2118 0.4419 0.3000
O3 0.2997 0.1116 0.3296
O4 0.2997 0.3884 0.8296
O5 0.4800 0.6548 0.6647
O6 0.4800 0.8452 0.1647
O7 0.5200 0.1548 0.8353
O8 0.5200 0.3452 0.3353
O9 0.7003 0.6116 0.1704
O10 0.7003 0.8884 0.6704
O11 0.7882 0.5581 0.7000
O12 0.7882 0.9419 0.2000

Most intense lines, 2θ from 10° to 90°, sorted by position:
2theta  d [Å]  intensity
12.0  7.366  100.0
13.1  6.779  97.0
13.7  6.470  39.3
16.1  5.497  43.5
17.1  5.171  53.0
21.1  4.207  60.0
22.3  3.988  78.2
24.0  3.706  86.7
24.5  3.634  61.7
29.1  3.071  31.2



2.
For PdSN3O3, the PBE geometry in the Materials Project gives the theoretical PXRD pattern in this record (λ = 1.5418 Å (Cu Kα)).
Intensities are scaled so that the largest is 100.

Structural model:
a b c (Å): 7.5019 6.8712 14.6268
angles (deg): 90.00 110.00 90.00
Fractional coordinates of all 32 atoms:
Pd1 0.0687 0.1925 0.0137
Pd2 0.0687 0.3075 0.5137
Pd3 0.9313 0.6925 0.4863
Pd4 0.9313 0.8075 0.9863
S1 0.3456 0.2056 0.3231
S2 0.3456 0.2944 0.8231
S3 0.6544 0.7056 0.1769
S4 0.6544 0.7944 0.6769
N1 0.0671 0.7265 0.1139
N2 0.0671 0.7735 0.6139
N3 0.1168 0.7201 0.4322
N4 0.1168 0.7799 0.9322
N5 0.3124 0.2505 0.0699
N6 0.3124 0.2495 0.5699
N7 0.6876 0.7505 0.4301
N8 0.6876 0.7495 0.9301
N9 0.8832 0.2201 0.0678
N10 0.8832 0.2799 0.5678
N11 0.9329 0.2265 0.3861
N12 0.9329 0.2735 0.8861
O1 0.2009 0.0578 0.2989
O2 0.2009 0.4422 0.7989
O3 0.2963 0.0947 0.8321
O4 0.2963 0.4053 0.3321
O5 0.4605 0.6534 0.1606
O6 0.4605 0.8466 0.6606
O7 0.5395 0.1534 0.3394
O8 0.5395 0.3466 0.8394
O9 0.7037 0.5947 0.6679
O10 0.7037 0.9053 0.1679
O11 0.7991 0.5578 0.2011
O12 0.7991 0.9422 0.7011

Most intense lines, 2θ from 10° to 90°, sorted by position:
2theta  d [Å]  intensity
12.6  7.050  84.7
12.9  6.872  69.3
14.6  6.066  82.4
18.0  4.921  76.7
20.9  4.248  89.3
24.1  3.690  36.1
24.6  3.614  100.0
25.9  3.436  55.6
29.1  3.073  79.4
29.9  2.989  34.5



3.
For Pr3Se2NO, the PBE geometry in the Materials Project gives the theoretical PXRD pattern in this record (λ = 1.5418 Å (Cu Kα)).
Intensities are scaled so that the largest is 100.

Structural model:
a b c (Å): 12.5730 12.5730 9.7743
angles (deg): 95.85 95.85 18.77
Fractional coordinates of all 21 atoms:
Pr1 0.0000 0.0000 0.0000
Pr2 0.0923 0.0923 0.3435
Pr3 0.2748 0.2748 0.3347
Pr4 0.3490 0.3490 0.6918
Pr5 0.5302 0.5302 0.6797
Pr6 0.6230 0.6230 0.0233
Pr7 0.7210 0.7210 0.6576
Pr8 0.8117 0.8117 0.0197
Pr9 0.9002 0.9002 0.3669
Se1 0.1203 0.1203 0.6774
Se2 0.2244 0.2244 0.9667
Se3 0.3997 0.3997 0.0394
Se4 0.5022 0.5022 0.3449
Se5 0.6786 0.6786 0.3471
Se6 0.9437 0.9437 0.6823
N1 0.0891 0.0891 0.1137
N2 0.5347 0.5347 0.9092
N3 0.8126 0.8126 0.2563
O1 0.2582 0.2582 0.5795
O2 0.3648 0.3648 0.4553
O3 0.8111 0.8111 0.7594

Most intense lines, 2θ from 10° to 90°, sorted by position:
2theta  d [Å]  intensity
24.4  3.655  12.2
27.5  3.241  63.9
29.2  3.060  100.0
34.9  2.570  51.2
38.5  2.336  15.1
39.2  2.298  10.8
44.2  2.050  21.7
45.6  1.989  35.4
52.8  1.733  20.9
57.3  1.609  15.8



4.
For PrZrNO2, the PBE geometry in the Materials Project gives the theoretical PXRD pattern in this record (λ = 1.5418 Å (Cu Kα)).
Intensities are scaled so that the largest is 100.

Structural model:
a b c (Å): 5.7962 5.9683 10.0153
angles (deg): 90.00 124.72 90.00
Fractional coordinates of all 20 atoms:
Pr1 0.2228 0.0488 0.2425
Pr2 0.2228 0.4512 0.7425
Pr3 0.7772 0.5488 0.2575
Pr4 0.7772 0.9512 0.7575
Zr1 0.0000 0.0000 0.5000
Zr2 0.0000 0.5000 0.0000
Zr3 0.5000 0.0000 0.0000
Zr4 0.5000 0.5000 0.5000
N1 0.1483 0.2056 0.9434
N2 0.1483 0.2944 0.4434
N3 0.8517 0.7056 0.5566
N4 0.8517 0.7944 0.0566
O1 0.2285 0.7082 0.9365
O2 0.2285 0.7918 0.4365
O3 0.3618 0.0387 0.7500
O4 0.3618 0.4613 0.2500
O5 0.6382 0.5387 0.7500
O6 0.6382 0.9613 0.2500
O7 0.7715 0.2082 0.5635
O8 0.7715 0.2918 0.0635

Most intense lines, 2θ from 10° to 90°, sorted by position:
2theta  d [Å]  intensity
29.9  2.984  45.5
30.4  2.937  100.0
30.7  2.914  99.6
30.9  2.898  46.1
43.5  2.079  43.3
44.0  2.058  25.0
54.1  1.694  20.7
54.4  1.686  31.9
55.0  1.671  34.4
63.3  1.468  15.5



5.
For PtS2N4O8, the PBE geometry in the Materials Project gives the theoretical PXRD pattern in this record (λ = 1.5418 Å (Cu Kα)).
Intensities are scaled so that the largest is 100.

Structural model:
a b c (Å): 6.6461 6.6461 6.0785
angles (deg): 106.79 106.79 71.39
Fractional coordinates of all 15 atoms:
Pt1 0.0000 0.0000 0.0000
S1 0.2961 0.2961 0.3638
S2 0.7039 0.7039 0.6362
N1 0.1322 0.1322 0.8255
N2 0.2616 0.7384 0.0000
N3 0.7384 0.2616 0.0000
N4 0.8678 0.8678 0.1745
O1 0.1424 0.1424 0.3237
O2 0.1673 0.4788 0.2507
O3 0.3600 0.3600 0.6191
O4 0.4788 0.1673 0.2507
O5 0.5212 0.8327 0.7493
O6 0.6400 0.6400 0.3809
O7 0.8327 0.5212 0.7493
O8 0.8576 0.8576 0.6763

Most intense lines, 2θ from 10° to 90°, sorted by position:
2theta  d [Å]  intensity
14.4  6.149  48.2
15.6  5.681  14.6
18.8  4.708  100.0
22.9  3.878  27.4
23.5  3.784  11.3
27.5  3.242  19.2
28.9  3.085  21.3
29.9  2.989  15.5
33.3  2.687  11.5
37.7  2.389  10.7



6.
For Rb8NO3, the PBE geometry in the Materials Project gives the theoretical PXRD pattern in this record (λ = 1.5418 Å (Cu Kα)).
Intensities are scaled so that the largest is 100.

Structural model:
a b c (Å): 6.9357 6.9357 6.9357
angles (deg): 90.00 90.00 90.00
Fractional coordinates of all 12 atoms:
Rb1 0.2468 0.2468 0.2468
Rb2 0.2468 0.2468 0.7532
Rb3 0.2468 0.7532 0.2468
Rb4 0.2468 0.7532 0.7532
Rb5 0.7532 0.2468 0.2468
Rb6 0.7532 0.2468 0.7532
Rb7 0.7532 0.7532 0.2468
Rb8 0.7532 0.7532 0.7532
N1 0.5000 0.5000 0.5000
O1 0.0000 0.0000 0.5000
O2 0.0000 0.5000 0.0000
O3 0.5000 0.0000 0.0000

Most intense lines, 2θ from 10° to 90°, sorted by position:
2theta  d [Å]  intensity
22.2  4.004  2.1
25.7  3.468  88.5
36.6  2.452  100.0
45.3  2.002  25.3
52.8  1.734  16.6
59.6  1.551  33.8
66.0  1.416  33.3
77.9  1.226  10.3
83.7  1.156  16.8
89.3  1.097  15.0



7.
For Rb2S2NO6, the PBE geometry in the Materials Project gives the theoretical PXRD pattern in this record (λ = 1.5418 Å (Cu Kα)).
Intensities are scaled so that the largest is 100.

Structural model:
a b c (Å): 7.5289 7.5289 7.7574
angles (deg): 93.54 93.54 62.37
Fractional coordinates of all 22 atoms:
Rb1 0.0083 0.2888 0.3630
Rb2 0.2888 0.0083 0.8630
Rb3 0.7112 0.9917 0.1370
Rb4 0.9917 0.7112 0.6370
S1 0.2313 0.5733 0.1357
S2 0.4266 0.7687 0.3643
S3 0.5734 0.2313 0.6357
S4 0.7687 0.4266 0.8643
N1 0.4311 0.5689 0.2500
N2 0.5689 0.4311 0.7500
O1 0.0665 0.6398 0.2561
O2 0.1842 0.7134 0.9960
O3 0.2866 0.8158 0.5040
O4 0.3035 0.3643 0.0754
O5 0.3602 0.9335 0.2439
O6 0.3643 0.3035 0.5754
O7 0.6357 0.6965 0.4246
O8 0.6398 0.0665 0.7561
O9 0.6965 0.6357 0.9246
O10 0.7134 0.1842 0.4960
O11 0.8158 0.2866 0.0040
O12 0.9335 0.3602 0.7439

Most intense lines, 2θ from 10° to 90°, sorted by position:
2theta  d [Å]  intensity
23.7  3.754  15.6
25.6  3.481  62.8
25.7  3.465  17.2
26.0  3.425  53.4
27.8  3.213  100.0
28.8  3.103  28.8
29.6  3.020  35.9
37.5  2.400  22.3
40.6  2.222  15.8
43.6  2.078  22.8



8.
For ReNO2, the PBE geometry in the Materials Project gives the theoretical PXRD pattern in this record (λ = 1.5418 Å (Cu Kα)).
Intensities are scaled so that the largest is 100.

Structural model:
a b c (Å): 6.4814 6.4814 6.4814
angles (deg): 126.03 126.03 79.85
Fractional coordinates of all 16 atoms:
Re1 0.0000 0.0000 0.0000
Re2 0.0000 0.0000 0.5000
Re3 0.0000 0.5000 0.0000
Re4 0.5000 0.0000 0.5000
N1 0.0000 0.5000 0.5000
N2 0.5000 0.0000 0.0000
N3 0.5000 0.5000 0.0000
N4 0.5000 0.5000 0.5000
O1 0.1228 0.6761 0.4467
O2 0.2706 0.3239 0.9467
O3 0.3239 0.2706 0.4467
O4 0.3239 0.8772 0.0533
O5 0.6761 0.1228 0.9467
O6 0.6761 0.7294 0.5533
O7 0.7294 0.6761 0.0533
O8 0.8772 0.3239 0.5533

Most intense lines, 2θ from 10° to 90°, sorted by position:
2theta  d [Å]  intensity
17.5  5.063  100.0
31.0  2.887  40.8
35.3  2.543  30.2
35.5  2.531  86.9
36.1  2.485  22.6
43.5  2.080  37.3
43.9  2.060  28.0
57.8  1.595  23.8
64.6  1.444  22.2
74.6  1.272  22.0